Structure and calculated powder X-ray diffraction pattern of NdCr3B4O12 (a crystal structure in Alexandria, relaxed with PBE+U; Cu Kα (weighted mean of Kα1 and Kα2)).

Largest 10 diffraction maxima, by angle, 10 to 90 degrees two-theta:
15.68°, intensity 30.7, hkl 1 0 1
18.41°, intensity 24.3, hkl 1 1 0
24.27°, intensity 75.4, hkl 0 2 1
30.64°, intensity 28.7, hkl 2 1 1
31.66°, intensity 100.0, hkl 2 0 2
36.87°, intensity 19.9, hkl 1 2 2
37.32°, intensity 23.0, hkl 2 2 0
45.76°, intensity 22.5, hkl 3 1 2
52.12°, intensity 26.3, hkl 2 2 3
52.44°, intensity 19.1, hkl 0 2 4

Atomic structure:
```
data_NdCr3B4O12
_chemical_formula_sum 'Nd3 Cr9 B12 O36'
_symmetry_space_group_name_H-M 'R 3 2'
_symmetry_Int_Tables_number 155
_symmetry_space_group_name_Hall 'R 3 2"'
_cell_length_a 9.6372
_cell_length_b 9.6372
_cell_length_c 7.6840
_cell_angle_alpha 90.00
_cell_angle_beta 90.00
_cell_angle_gamma 120.00
loop_
_atom_site_label
_atom_site_type_symbol
_atom_site_fract_x
_atom_site_fract_y
_atom_site_fract_z
_atom_site_occupancy
Nd1 Nd 0.0000 0.0000 0.0000 1
Cr1 Cr 0.0000 0.5547 0.0000 1
B1 B 0.0000 0.0000 0.5000 1
B2 B 0.0000 0.4433 0.5000 1
O1 O 0.0000 0.5883 0.5000 1
O2 O 0.0000 0.8558 0.5000 1
O3 O 0.0277 0.2154 0.1850 1
```